Calculated powder X-ray diffraction pattern
Compound: Li2PmAsPd2
Radiation: CuKα
Structure: the PBE geometry in Alexandria

Crystal structure
```
data_Li2PmAsPd2
_chemical_formula_sum 'Li2 Pm1 As1 Pd2'
_cell_length_a 4.455
_cell_length_b 4.455
_cell_length_c 5.753
_cell_angle_alpha 90.00
_cell_angle_beta 90.00
_cell_angle_gamma 90.00
_symmetry_space_group_name_H-M 'P 4/m m m'
_symmetry_Int_Tables_number 123
_symmetry_space_group_name_Hall '-P 4 2'
loop_
_atom_site_label
_atom_site_fract_x
_atom_site_fract_y
_atom_site_fract_z
Li1 0.000 0.500 0.000
Pm1 0.000 0.000 0.500
As1 0.000 0.000 0.000
Pd1 0.500 0.500 0.267
```

Largest 10 diffraction maxima, low angle first, 2θ = 10–80°:
d (Å)  2theta  intensity  hkl
3.150  28.3  100.0  1 1 0
2.763  32.4  7.9  1 1 1
2.417  37.2  98.7  1 0 2
2.227  40.5  41.6  2 0 0
1.638  56.2  59.2  2 1 2
1.575  58.6  13.9  2 2 0
1.409  66.4  17.3  3 1 0
1.319  71.5  14.2  3 0 2
1.308  72.2  12.3  1 1 4
1.208  79.3  10.8  2 0 4